1.
Calculated powder diffraction line list
Compound: K2PPd2
Radiation: Cu Kα (λ = 1.5418 Å)
Structure: a crystal structure in Alexandria, relaxed with PBE

Atomic structure:
a b c (Å): 7.7264 7.7264 6.6815
angles (deg): 110.13 110.13 47.53
Fractional positions:
K 0.1003 0.1956 0.4696
K 0.1956 0.1003 0.9696
K 0.8044 0.8997 0.0304
K 0.8997 0.8044 0.5304
P 0.3697 0.6303 0.2500
P 0.6303 0.3697 0.7500
Pd 0.3698 0.4172 0.9029
Pd 0.4172 0.3698 0.4029
Pd 0.5828 0.6302 0.5971
Pd 0.6302 0.5828 0.0971

Peak list (10 most intense, 2θ from 10° to 90°, in order of rising 2θ)
15.76°, rel. 100; 27.22°, rel. 35; 28.67°, rel. 43; 30.64°, rel. 19; 31.88°, rel. 38; 35.28°, rel. 16; 37.22°, rel. 22; 39.95°, rel. 27; 44.20°, rel. 17; 48.67°, rel. 21


2.
Calculated powder diffraction line list
Compound: K2P2PdPt
Radiation: Cu Kα (λ = 1.5418 Å)
Structure: a crystal structure in Alexandria, relaxed with PBE

Atomic structure:
a b c (Å): 8.3996 8.3996 8.3996
angles (deg): 136.79 63.10 136.34
Fractional positions:
K 0.1762 0.2425 0.4188
K 0.3238 0.7425 0.0663
K 0.6762 0.2575 0.9337
K 0.8238 0.7575 0.5812
P 0.0770 0.7413 0.8183
P 0.4230 0.2413 0.6642
P 0.5770 0.7587 0.3358
P 0.9230 0.2587 0.1817
Pd 0.2500 0.2500 0.0000
Pd 0.7500 0.7500 0.0000
Pt 0.2500 0.7500 0.5000
Pt 0.7500 0.2500 0.5000

Peak list (10 most intense, 2θ from 10° to 90°, in order of rising 2θ)
12.37°, rel. 100; 24.88°, rel. 16; 31.25°, rel. 27; 31.51°, rel. 26; 38.25°, rel. 19; 38.47°, rel. 18; 41.07°, rel. 25; 43.06°, rel. 19; 48.62°, rel. 11; 56.96°, rel. 11


3.
Calculated powder diffraction line list
Compound: K2P2PdS6
Radiation: Cu Kα (λ = 1.5418 Å)
Structure: a crystal structure in Alexandria, relaxed with PBE

Atomic structure:
a b c (Å): 15.9781 7.2805 10.3035
angles (deg): 90.00 90.00 90.00
Fractional positions:
K 0.1153 0.2500 0.0745
K 0.1832 0.2500 0.5938
K 0.3168 0.7500 0.0938
K 0.3847 0.7500 0.5745
K 0.6153 0.2500 0.4255
K 0.6832 0.2500 0.9062
K 0.8168 0.7500 0.4062
K 0.8847 0.7500 0.9255
P 0.0562 0.7500 0.2216
P 0.1666 0.7500 0.3554
P 0.3334 0.2500 0.8554
P 0.4438 0.2500 0.7216
P 0.5562 0.7500 0.2784
P 0.6666 0.7500 0.1446
P 0.8334 0.2500 0.6446
P 0.9438 0.2500 0.7784
Pd 0.0000 0.0000 0.5000
Pd 0.0000 0.5000 0.5000
Pd 0.5000 0.0000 0.0000
Pd 0.5000 0.5000 0.0000
S 0.0084 0.0150 0.7289
S 0.0084 0.4850 0.7289
S 0.0901 0.7500 0.0366
S 0.0921 0.7500 0.5292
S 0.2310 0.5171 0.3405
S 0.2310 0.9829 0.3405
S 0.2690 0.0171 0.8405
S 0.2690 0.4829 0.8405
S 0.4079 0.2500 0.0292
S 0.4099 0.2500 0.5366
S 0.4916 0.5150 0.2289
S 0.4916 0.9850 0.2289
S 0.5084 0.0150 0.7711
S 0.5084 0.4850 0.7711
S 0.5901 0.7500 0.4634
S 0.5921 0.7500 0.9708
S 0.7310 0.5171 0.1595
S 0.7310 0.9829 0.1595
S 0.7690 0.0171 0.6595
S 0.7690 0.4829 0.6595
S 0.9079 0.2500 0.4708
S 0.9099 0.2500 0.9634
S 0.9916 0.5150 0.2711
S 0.9916 0.9850 0.2711

Peak list (10 most intense, 2θ from 10° to 90°, in order of rising 2θ)
10.22°, rel. 100; 11.08°, rel. 52; 14.90°, rel. 22; 26.56°, rel. 33; 29.26°, rel. 30; 30.99°, rel. 36; 33.30°, rel. 52; 36.66°, rel. 27; 50.11°, rel. 16; 55.70°, rel. 17


4.
Calculated powder diffraction line list
Compound: K2PPdSe4
Radiation: Cu Kα (λ = 1.5418 Å)
Structure: a crystal structure in Alexandria, relaxed with PBE

Atomic structure:
a b c (Å): 12.8914 11.6200 7.3217
angles (deg): 82.42 63.32 34.26
Fractional positions:
K 0.0482 0.0482 0.7018
K 0.2982 0.2982 0.9518
K 0.7018 0.7018 0.0482
K 0.9518 0.9518 0.2982
P 0.3750 0.3750 0.3750
P 0.6250 0.6250 0.6250
Pd 0.1250 0.1250 0.1250
Pd 0.8750 0.8750 0.8750
Se 0.0082 0.6455 0.5331
Se 0.3132 0.5331 0.6455
Se 0.3545 0.9918 0.6868
Se 0.4669 0.6868 0.9918
Se 0.5331 0.3132 0.0082
Se 0.6455 0.0082 0.3132
Se 0.6868 0.4669 0.3545
Se 0.9918 0.3545 0.4669

Peak list (10 most intense, 2θ from 10° to 90°, in order of rising 2θ)
15.77°, rel. 82; 15.93°, rel. 78; 24.77°, rel. 56; 27.27°, rel. 39; 27.68°, rel. 33; 31.74°, rel. 100; 31.91°, rel. 46; 36.13°, rel. 33; 39.44°, rel. 55; 42.79°, rel. 32


5.
Calculated powder diffraction line list
Compound: KPPt2
Radiation: Cu Kα (λ = 1.5418 Å)
Structure: a crystal structure in Alexandria, relaxed with PBE

Atomic structure:
a b c (Å): 6.5550 6.5550 6.5550
angles (deg): 143.90 143.90 51.97
Fractional positions:
K 0.0000 0.0000 0.0000
P 0.3358 0.3358 0.0000
Pt 0.2467 0.7467 0.5000
Pt 0.7467 0.2467 0.5000

Peak list (10 most intense, 2θ from 10° to 90°, in order of rising 2θ)
15.04°, rel. 100; 30.34°, rel. 25; 31.14°, rel. 27; 34.75°, rel. 71; 44.03°, rel. 29; 44.62°, rel. 22; 47.34°, rel. 23; 54.91°, rel. 19; 56.78°, rel. 21; 75.80°, rel. 15


6.
Calculated powder diffraction line list
Compound: KP2Pt3
Radiation: Cu Kα (λ = 1.5418 Å)
Structure: a crystal structure in Alexandria, relaxed with PBE

Atomic structure:
a b c (Å): 6.6706 6.8056 7.8105
angles (deg): 91.48 113.51 117.82
Fractional positions:
K 0.0000 0.0000 0.0000
K 0.2726 0.4214 0.5387
P 0.2515 0.9386 0.5285
P 0.5295 0.7450 0.3004
P 0.8104 0.4074 0.1596
P 0.8637 0.4453 0.6818
Pt 0.1194 0.5598 0.0550
Pt 0.2324 0.7837 0.7778
Pt 0.5745 0.0221 0.1314
Pt 0.6122 0.2331 0.8277
Pt 0.6160 0.0588 0.5026
Pt 0.8256 0.6291 0.4047

Peak list (10 most intense, 2θ from 10° to 90°, in order of rising 2θ)
15.85°, rel. 100; 17.78°, rel. 25; 25.67°, rel. 15; 26.77°, rel. 12; 29.21°, rel. 20; 29.31°, rel. 16; 31.42°, rel. 18; 35.96°, rel. 11; 45.75°, rel. 12; 46.00°, rel. 16


7.
Calculated powder diffraction line list
Compound: KP3Pt7
Radiation: Cu Kα (λ = 1.5418 Å)
Structure: a crystal structure in Alexandria, relaxed with PBE

Atomic structure:
a b c (Å): 8.1114 8.1114 8.1114
angles (deg): 58.35 58.35 58.35
Fractional positions:
K 0.0000 0.0000 0.0000
K 0.5000 0.5000 0.5000
P 0.0782 0.7500 0.4218
P 0.2500 0.5782 0.9218
P 0.4218 0.0782 0.7500
P 0.5782 0.9218 0.2500
P 0.7500 0.4218 0.0782
P 0.9218 0.2500 0.5782
Pt 0.0832 0.8398 0.6562
Pt 0.1562 0.3398 0.5832
Pt 0.1602 0.3438 0.9168
Pt 0.2500 0.2500 0.2500
Pt 0.3398 0.5832 0.1562
Pt 0.3438 0.9168 0.1602
Pt 0.4168 0.8438 0.6602
Pt 0.5832 0.1562 0.3398
Pt 0.6562 0.0832 0.8398
Pt 0.6602 0.4168 0.8438
Pt 0.7500 0.7500 0.7500
Pt 0.8398 0.6562 0.0832
Pt 0.8438 0.6602 0.4168
Pt 0.9168 0.1602 0.3438

Peak list (10 most intense, 2θ from 10° to 90°, in order of rising 2θ)
15.66°, rel. 38; 21.93°, rel. 25; 31.61°, rel. 30; 34.95°, rel. 100; 38.13°, rel. 38; 39.14°, rel. 89; 41.48°, rel. 80; 46.69°, rel. 41; 47.09°, rel. 20; 62.11°, rel. 30


8.
Calculated powder diffraction line list
Compound: K3P4Pt2
Radiation: Cu Kα (λ = 1.5418 Å)
Structure: a crystal structure in Alexandria, relaxed with PBE

Atomic structure:
a b c (Å): 6.5283 6.5283 15.2844
angles (deg): 90.00 90.00 124.60
Fractional positions:
K 0.1296 0.8704 0.5684
K 0.1296 0.8704 0.9316
K 0.2582 0.7418 0.2500
K 0.7418 0.2582 0.7500
K 0.8704 0.1296 0.0684
K 0.8704 0.1296 0.4316
P 0.2132 0.4270 0.6130
P 0.2132 0.4270 0.8870
P 0.4270 0.2132 0.1130
P 0.4270 0.2132 0.3870
P 0.5730 0.7868 0.6130
P 0.5730 0.7868 0.8870
P 0.7868 0.5730 0.1130
P 0.7868 0.5730 0.3870
Pt 0.4211 0.5789 0.7500
Pt 0.5000 0.5000 0.0000
Pt 0.5000 0.5000 0.5000
Pt 0.5789 0.4211 0.2500

Peak list (10 most intense, 2θ from 10° to 90°, in order of rising 2θ)
15.33°, rel. 38; 16.40°, rel. 36; 16.50°, rel. 100; 23.28°, rel. 22; 28.03°, rel. 51; 28.67°, rel. 48; 29.44°, rel. 19; 29.85°, rel. 19; 37.86°, rel. 44; 50.71°, rel. 18


9.
Calculated powder diffraction line list
Compound: KScP2Pt4
Radiation: Cu Kα (λ = 1.5418 Å)
Structure: a crystal structure in Alexandria, relaxed with PBE

Atomic structure:
a b c (Å): 4.0130 4.0130 10.2795
angles (deg): 90.00 90.00 90.00
Fractional positions:
K 0.0000 0.0000 0.0000
Sc 0.0000 0.0000 0.5000
P 0.5000 0.5000 0.1924
P 0.5000 0.5000 0.8076
Pt 0.0000 0.5000 0.3113
Pt 0.0000 0.5000 0.6887
Pt 0.5000 0.0000 0.3113
Pt 0.5000 0.0000 0.6887

Peak list (10 most intense, 2θ from 10° to 90°, in order of rising 2θ)
17.25°, rel. 100; 26.00°, rel. 60; 31.53°, rel. 68; 32.74°, rel. 30; 36.16°, rel. 87; 41.31°, rel. 100; 45.19°, rel. 56; 52.88°, rel. 36; 55.17°, rel. 45; 80.75°, rel. 29


10.
Calculated powder diffraction line list
Compound: KRb2P
Radiation: Cu Kα (λ = 1.5418 Å)
Structure: a crystal structure in Alexandria, relaxed with PBE

Atomic structure:
a b c (Å): 11.4992 7.8448 9.9249
angles (deg): 90.00 115.43 90.00
Fractional positions:
K 0.0009 0.9995 0.1931
K 0.0009 0.5005 0.6931
K 0.9991 0.0005 0.8069
K 0.9991 0.4995 0.3069
Rb 0.2789 0.1810 0.6397
Rb 0.2789 0.3190 0.1397
Rb 0.3136 0.7489 0.4093
Rb 0.3136 0.7511 0.9093
Rb 0.6864 0.2489 0.0907
Rb 0.6864 0.2511 0.5907
Rb 0.7211 0.6810 0.8603
Rb 0.7211 0.8190 0.3603
P 0.0474 0.6319 0.0239
P 0.0474 0.8681 0.5239
P 0.9526 0.1319 0.4761
P 0.9526 0.3681 0.9761

Peak list (10 most intense, 2θ from 10° to 90°, in order of rising 2θ)
22.87°, rel. 100; 24.26°, rel. 13; 25.74°, rel. 29; 27.33°, rel. 30; 28.52°, rel. 29; 29.62°, rel. 15; 33.57°, rel. 24; 35.77°, rel. 15; 36.20°, rel. 15; 57.63°, rel. 15


11.
Calculated powder diffraction line list
Compound: K6Rb12P
Radiation: Cu Kα (λ = 1.5418 Å)
Structure: a crystal structure in Alexandria, relaxed with PBE

Atomic structure:
a b c (Å): 11.7488 11.7488 11.7488
angles (deg): 78.26 78.26 78.26
Fractional positions:
K 0.1242 0.8248 0.8248
K 0.1752 0.1752 0.8758
K 0.1752 0.8758 0.1752
K 0.8248 0.1242 0.8248
K 0.8248 0.8248 0.1242
K 0.8758 0.1752 0.1752
Rb 0.1374 0.1374 0.4759
Rb 0.1374 0.4759 0.1374
Rb 0.1927 0.5331 0.5331
Rb 0.4669 0.4669 0.8073
Rb 0.4669 0.8073 0.4669
Rb 0.4759 0.1374 0.1374
Rb 0.5241 0.8626 0.8626
Rb 0.5331 0.1927 0.5331
Rb 0.5331 0.5331 0.1927
Rb 0.8073 0.4669 0.4669
Rb 0.8626 0.5241 0.8626
Rb 0.8626 0.8626 0.5241
P 0.0000 0.0000 0.0000

Peak list (10 most intense, 2θ from 10° to 90°, in order of rising 2θ)
20.75°, rel. 20; 22.10°, rel. 25; 23.54°, rel. 100; 30.49°, rel. 18; 36.35°, rel. 22; 39.66°, rel. 24; 42.95°, rel. 23; 43.77°, rel. 17; 58.16°, rel. 14; 59.23°, rel. 9


12.
Calculated powder diffraction line list
Compound: K3RbP2S6
Radiation: Cu Kα (λ = 1.5418 Å)
Structure: a crystal structure in Alexandria, relaxed with PBE

Atomic structure:
a b c (Å): 7.1404 7.1404 9.9452
angles (deg): 90.00 90.00 120.00
Fractional positions:
K 0.0000 0.0000 0.0000
K 0.3333 0.6667 0.7904
K 0.6667 0.3333 0.2096
Rb 0.0000 0.0000 0.5000
P 0.3333 0.6667 0.1867
P 0.6667 0.3333 0.8133
S 0.1741 0.3483 0.2359
S 0.1741 0.8259 0.2359
S 0.3483 0.1741 0.7641
S 0.6517 0.8259 0.2359
S 0.8259 0.1741 0.7641
S 0.8259 0.6517 0.7641

Peak list (10 most intense, 2θ from 10° to 90°, in order of rising 2θ)
14.32°, rel. 31; 16.88°, rel. 50; 17.84°, rel. 45; 22.95°, rel. 97; 24.94°, rel. 62; 30.27°, rel. 74; 34.15°, rel. 100; 39.87°, rel. 31; 42.75°, rel. 22; 51.17°, rel. 38